Simulated powder diffraction line list
Compound: Nd6NiHg5
Radiation: CuKα
Structure: a DFT-relaxed cell (GGA-PBE, Alexandria)
Peak positions follow from Bragg's law for the DFT cell and can differ from measured ones.

Structure:
```
data_Nd6NiHg5
_chemical_formula_sum 'Nd12 Ni2 Hg10'
_symmetry_space_group_name_H-M 'C 1 2/m 1'
_symmetry_Int_Tables_number 12
_cell_length_a 16.8454
_cell_length_b 7.6274
_cell_length_c 5.3509
_cell_angle_alpha 90.00
_cell_angle_beta 108.45
_cell_angle_gamma 90.00
loop_
_symmetry_equiv_pos_as_xyz
'x,y,z'
'-x,-y,-z'
'-x,y,-z'
'x,-y,z'
'x+1/2,y+1/2,z'
'-x+1/2,-y+1/2,-z'
'-x+1/2,y+1/2,-z'
'x+1/2,-y+1/2,z'
loop_
_atom_site_label
_atom_site_fract_x
_atom_site_fract_y
_atom_site_fract_z
Nd1 0.0000 0.2285 0.0000
Nd2 0.1568 0.2357 0.6572
Ni1 0.0000 0.0000 0.5000
Hg1 0.0000 0.5000 0.5000
Hg2 0.1670 0.5000 0.1673
Hg3 0.1820 0.0000 0.1826
```

Most intense lines, 2θ = 10–90°, by angle:
(2 2 1), d = 2.683 Å, 33.40 deg, I = 100
(2 0 -2), d = 2.675 Å, 33.49 deg, I = 26
(6 0 0), d = 2.663 Å, 33.65 deg, I = 23
(0 4 0), d = 1.907 Å, 47.69 deg, I = 9
(4 0 2), d = 1.887 Å, 48.21 deg, I = 17
(2 4 -2), d = 1.553 Å, 59.53 deg, I = 9
(6 4 0), d = 1.550 Å, 59.63 deg, I = 8
(0 2 3), d = 1.546 Å, 59.82 deg, I = 19
(8 2 1), d = 1.541 Å, 60.02 deg, I = 15
(4 4 2), d = 1.341 Å, 70.16 deg, I = 10